[1]
Simulated X-ray diffraction stick pattern of HoTmMg2 for copper Kα, from a structure optimized by DFT (GGA-PBE).
Kinematic intensities with the Lorentz-polarization factor, no thermal factor.

Largest 10 diffraction maxima, by angle, 15 to 90 degrees two-theta:
23.6°, I 65
33.7°, I 100
41.5°, I 20
48.4°, I 18
54.5°, I 28
60.2°, I 38
70.8°, I 12
75.8°, I 13
80.7°, I 16
85.6°, I 8

Structural model:
Lattice parameters (Å, degrees): 5.324 5.324 5.324 60.00 60.00 60.00
Atoms (fractional coordinates):
Ho 0.000 0.000 0.000
Tm 0.500 0.500 0.500
Mg 0.250 0.250 0.250
Mg 0.750 0.750 0.750

[2]
Simulated X-ray diffraction stick pattern of HoMgZn2 for copper Kα, from a structure optimized by DFT (GGA-PBE).
Kinematic intensities with the Lorentz-polarization factor, no thermal factor.

Largest 10 diffraction maxima, by angle, 15 to 90 degrees two-theta:
22.6°, I 41
26.1°, I 2
37.3°, I 100
44.0°, I 22
53.7°, I 17
59.0°, I 9
67.2°, I 34
71.9°, I 7
79.4°, I 10
83.9°, I 7

Structural model:
Lattice parameters (Å, degrees): 4.826 4.826 4.826 60.00 60.00 60.00
Atoms (fractional coordinates):
Ho 0.000 0.000 0.000
Mg 0.500 0.500 0.500
Zn 0.250 0.250 0.250
Zn 0.750 0.750 0.750

[3]
Simulated X-ray diffraction stick pattern of HoMn2 for copper Kα, from a structure optimized by DFT (GGA-PBE).
Kinematic intensities with the Lorentz-polarization factor, no thermal factor.

Largest 10 diffraction maxima, by angle, 15 to 90 degrees two-theta:
21.4°, I 21
35.3°, I 72
41.6°, I 100
43.5°, I 12
55.6°, I 6
63.3°, I 27
67.6°, I 30
74.6°, I 22
85.2°, I 12
89.2°, I 11

Structural model:
Lattice parameters (Å, degrees): 5.091 5.091 5.091 60.00 60.00 60.00
Atoms (fractional coordinates):
Ho 0.125 0.125 0.125
Ho 0.875 0.875 0.875
Mn 0.000 0.500 0.500
Mn 0.500 0.000 0.500
Mn 0.500 0.500 0.000
Mn 0.500 0.500 0.500

[4]
Simulated X-ray diffraction stick pattern of HoMn2 for copper Kα, from a structure optimized by DFT (GGA-PBE).
Kinematic intensities with the Lorentz-polarization factor, no thermal factor.

Largest 10 diffraction maxima, by angle, 15 to 90 degrees two-theta:
20.2°, I 16
35.3°, I 45
35.4°, I 22
38.1°, I 100
41.5°, I 62
41.6°, I 31
42.4°, I 16
42.5°, I 32
65.2°, I 26
70.5°, I 20

Structural model:
Lattice parameters (Å, degrees): 5.085 5.085 8.414 90.00 90.00 120.27
Atoms (fractional coordinates):
Ho 0.167 0.833 0.563
Ho 0.167 0.833 0.937
Ho 0.833 0.167 0.063
Ho 0.833 0.167 0.437
Mn 0.163 0.331 0.750
Mn 0.331 0.163 0.250
Mn 0.332 0.668 0.250
Mn 0.500 0.500 0.000
Mn 0.500 0.500 0.500
Mn 0.668 0.332 0.750
Mn 0.669 0.837 0.750
Mn 0.837 0.669 0.250